Calculated X-ray diffraction stick pattern of BaAl2H10C2O13 for λ = 1.5418 Å (Cu Kα), from a structure optimized by DFT (PBE).
Peak positions follow from Bragg's law for the DFT cell and can differ from measured ones.

The 8 most intense peaks (2θ = 15–90°), low angle first:
16.25 deg, intensity 61, (0 1 1)
20.37 deg, intensity 84, (0 2 -2)
24.10 deg, intensity 69, (1 -2 0)
25.37 deg, intensity 100, (0 2 1)
27.99 deg, intensity 63, (0 0 3)
31.66 deg, intensity 56, (1 -2 3)
32.41 deg, intensity 74, (1 3 -1)
34.39 deg, intensity 53, (2 0 1)

Structural model:
Cell lengths 5.6788, 9.9837, 10.6908 Å; angles 115.52, 95.63, 92.73 degrees
Atoms (fractional coordinates):
1 Ba 0.2108 0.1443 0.1917
2 Ba 0.7892 0.8557 0.8083
3 Al 0.0000 0.0000 0.5000
4 Al 0.0000 0.5000 0.5000
5 Al 0.5000 0.0000 0.5000
6 Al 0.5000 0.5000 0.5000
7 H 0.0526 0.2023 0.9170
8 H 0.1142 0.5234 0.2122
9 H 0.1594 0.7620 0.9862
10 H 0.1954 0.7950 0.3124
11 H 0.2233 0.3973 0.9012
12 H 0.2407 0.2926 0.5118
13 H 0.2515 0.6938 0.4575
14 H 0.2984 0.2025 0.6662
15 H 0.3328 0.5820 0.1650
16 H 0.4334 0.3293 0.9557
17 H 0.5666 0.6707 0.0443
18 H 0.6672 0.4180 0.8350
19 H 0.7016 0.7975 0.3338
20 H 0.7485 0.3062 0.5425
21 H 0.7593 0.7074 0.4882
22 H 0.7767 0.6027 0.0988
23 H 0.8046 0.2050 0.6876
24 H 0.8406 0.2380 0.0138
25 H 0.8858 0.4766 0.7878
26 H 0.9474 0.7977 0.0830
27 C 0.2856 0.9516 0.7162
28 C 0.3126 0.6080 0.7715
29 C 0.6874 0.3920 0.2285
30 C 0.7144 0.0484 0.2838
31 O 0.0440 0.8380 0.0336
32 O 0.0753 0.9640 0.6617
33 O 0.0945 0.5793 0.7068
34 O 0.1622 0.5881 0.1689
35 O 0.2224 0.8671 0.4112
36 O 0.2326 0.3613 0.4669
37 O 0.2557 0.6143 0.4877
38 O 0.2731 0.1458 0.5635
39 O 0.3046 0.9243 0.8224
40 O 0.3283 0.3174 0.8706
41 O 0.3505 0.6614 0.9052
42 O 0.4775 0.9665 0.6622
43 O 0.4945 0.5822 0.7015
44 O 0.5055 0.4178 0.2985
45 O 0.5225 0.0335 0.3378
46 O 0.6494 0.3386 0.0948
47 O 0.6717 0.6826 0.1294
48 O 0.6954 0.0757 0.1776
49 O 0.7269 0.8542 0.4365
50 O 0.7443 0.3857 0.5123
51 O 0.7674 0.6387 0.5331
52 O 0.7776 0.1329 0.5888
53 O 0.8378 0.4119 0.8311
54 O 0.9055 0.4207 0.2932
55 O 0.9247 0.0360 0.3383
56 O 0.9560 0.1620 0.9664